The following is a simulated powder diffraction line list of NaUSn2S6. It was derived from a DFT-relaxed cell (PBE, Alexandria), using a wavelength of 1.5418 Å.
Kinematic intensities with the Lorentz-polarization factor, no thermal factor.

Atomic structure:
a = 7.474 Å, b = 7.474 Å, c = 7.474 Å
α = 54.67°, β = 54.67°, γ = 54.67°
Fractional coordinates of all 10 atoms:
Na (0.000, 0.000, 0.000)
U (0.482, 0.482, 0.482)
Sn (0.285, 0.285, 0.285)
Sn (0.801, 0.801, 0.801)
S (0.085, 0.680, 0.428)
S (0.219, 0.594, 0.853)
S (0.428, 0.085, 0.680)
S (0.594, 0.853, 0.219)
S (0.680, 0.428, 0.085)
S (0.853, 0.219, 0.594)

The 6 most intense peaks (5° ≤ 2θ ≤ 70°), low angle first:
| d_spacing | I/Imax |
| --- | --- |
| 5.673 | 71 |
| 5.040 | 53 |
| 3.712 | 72 |
| 3.432 | 81 |
| 3.018 | 54 |
| 2.328 | 100 |

The following is a simulated powder diffraction line list of Tb15Sm2Sc2. It was derived from a DFT-relaxed cell (PBE, Alexandria), using a wavelength of 1.5418 Å.
Kinematic intensities with the Lorentz-polarization factor, no thermal factor.

Atomic structure:
a = 8.671 Å, b = 8.671 Å, c = 8.671 Å
α = 79.93°, β = 79.93°, γ = 79.93°
Fractional coordinates of all 19 atoms:
Tb (0.000, 0.000, 0.500)
Tb (0.000, 0.293, 0.707)
Tb (0.000, 0.500, 0.000)
Tb (0.000, 0.707, 0.293)
Tb (0.147, 0.632, 0.632)
Tb (0.293, 0.000, 0.707)
Tb (0.293, 0.707, 0.000)
Tb (0.368, 0.368, 0.853)
Tb (0.368, 0.853, 0.368)
Tb (0.500, 0.000, 0.000)
Tb (0.632, 0.147, 0.632)
Tb (0.632, 0.632, 0.147)
Tb (0.707, 0.000, 0.293)
Tb (0.707, 0.293, 0.000)
Tb (0.853, 0.368, 0.368)
Sm (0.321, 0.321, 0.321)
Sm (0.679, 0.679, 0.679)
Sc (0.091, 0.091, 0.091)
Sc (0.909, 0.909, 0.909)

The 6 most intense peaks (5° ≤ 2θ ≤ 70°), low angle first:
| d_spacing | I/Imax |
| --- | --- |
| 5.570 | 32 |
| 2.908 | 34 |
| 2.827 | 45 |
| 2.814 | 100 |
| 2.785 | 44 |
| 2.512 | 64 |

The following is a simulated powder diffraction line list of Tb3Au2. It was derived from a DFT-relaxed cell (PBE, Alexandria), using a wavelength of 1.5418 Å.
Kinematic intensities with the Lorentz-polarization factor, no thermal factor.

Atomic structure:
a = 8.207 Å, b = 8.207 Å, c = 3.810 Å
α = 90.00°, β = 90.00°, γ = 90.00°
Fractional coordinates of all 10 atoms:
Tb (0.000, 0.000, 0.000)
Tb (0.163, 0.337, 0.500)
Tb (0.337, 0.837, 0.500)
Tb (0.500, 0.500, 0.000)
Tb (0.663, 0.163, 0.500)
Tb (0.837, 0.663, 0.500)
Au (0.132, 0.632, 0.000)
Au (0.368, 0.132, 0.000)
Au (0.632, 0.868, 0.000)
Au (0.868, 0.368, 0.000)

The 6 most intense peaks (5° ≤ 2θ ≤ 70°), low angle first:
| d_spacing | I/Imax |
| --- | --- |
| 2.792 | 15 |
| 2.643 | 100 |
| 2.595 | 48 |
| 1.905 | 13 |
| 1.536 | 20 |
| 1.415 | 18 |

The following is a simulated powder diffraction line list of Cs3Pu2I7. It was derived from a DFT-relaxed cell (PBE, Alexandria), using a wavelength of 1.5418 Å.
Kinematic intensities with the Lorentz-polarization factor, no thermal factor.

Atomic structure:
a = 16.496 Å, b = 16.496 Å, c = 16.496 Å
α = 158.05°, β = 158.05°, γ = 31.24°
Fractional coordinates of all 12 atoms:
Cs (0.000, 0.000, 0.000)
Cs (0.179, 0.179, 0.000)
Cs (0.821, 0.821, 0.000)
Pu (0.399, 0.399, 0.000)
Pu (0.601, 0.601, 0.000)
I (0.096, 0.596, 0.500)
I (0.300, 0.300, 0.000)
I (0.404, 0.904, 0.500)
I (0.500, 0.500, 0.000)
I (0.596, 0.096, 0.500)
I (0.700, 0.700, 0.000)
I (0.904, 0.404, 0.500)

The 6 most intense peaks (5° ≤ 2θ ≤ 70°), low angle first:
| d_spacing | I/Imax |
| --- | --- |
| 6.163 | 37 |
| 4.442 | 41 |
| 3.177 | 40 |
| 3.141 | 100 |
| 2.234 | 60 |
| 2.221 | 38 |

The following is a simulated powder diffraction line list of Cs5KO3. It was derived from a DFT-relaxed cell (PBE, Alexandria), using a wavelength of 1.5418 Å.
Kinematic intensities with the Lorentz-polarization factor, no thermal factor.

Atomic structure:
a = 6.917 Å, b = 4.292 Å, c = 20.920 Å
α = 90.00°, β = 92.32°, γ = 90.00°
Fractional coordinates of all 18 atoms:
Cs (0.091, 0.000, 0.418)
Cs (0.208, 0.000, 0.772)
Cs (0.233, 0.000, 0.125)
Cs (0.267, 0.500, 0.952)
Cs (0.401, 0.500, 0.590)
Cs (0.599, 0.500, 0.410)
Cs (0.733, 0.500, 0.048)
Cs (0.767, 0.000, 0.875)
Cs (0.792, 0.000, 0.228)
Cs (0.909, 0.000, 0.582)
K (0.300, 0.500, 0.275)
K (0.700, 0.500, 0.725)
O (0.000, 0.500, 0.500)
O (0.023, 0.500, 0.177)
O (0.473, 0.000, 0.329)
O (0.500, 0.000, 0.000)
O (0.527, 0.000, 0.671)
O (0.977, 0.500, 0.823)

The 6 most intense peaks (5° ≤ 2θ ≤ 70°), low angle first:
| d_spacing | I/Imax |
| --- | --- |
| 3.648 | 74 |
| 3.259 | 100 |
| 3.203 | 94 |
| 3.163 | 34 |
| 2.146 | 42 |
| 2.043 | 34 |

The following is a simulated powder diffraction line list of InGaHgPb. It was derived from a DFT-relaxed cell (PBE, Alexandria), using a wavelength of 1.5418 Å.
Kinematic intensities with the Lorentz-polarization factor, no thermal factor.

Atomic structure:
a = 3.411 Å, b = 3.411 Å, c = 8.870 Å
α = 90.00°, β = 90.00°, γ = 90.00°
Fractional coordinates of all 4 atoms:
In (0.000, 0.000, 0.000)
Ga (0.500, 0.500, 0.224)
Hg (0.500, 0.500, 0.748)
Pb (0.000, 0.000, 0.466)

The 6 most intense peaks (5° ≤ 2θ ≤ 70°), low angle first:
| d_spacing | I/Imax |
| --- | --- |
| 3.184 | 17 |
| 2.704 | 100 |
| 2.412 | 38 |
| 1.706 | 13 |
| 1.632 | 20 |
| 1.443 | 29 |

The following is a simulated powder diffraction line list of Pr2SiS5. It was derived from a DFT-relaxed cell (PBE, Alexandria), using a wavelength of 1.5418 Å.
Kinematic intensities with the Lorentz-polarization factor, no thermal factor.

Atomic structure:
a = 5.106 Å, b = 12.257 Å, c = 13.018 Å
α = 90.00°, β = 90.00°, γ = 90.00°
Fractional coordinates of all 32 atoms:
Pr (0.014, 0.107, 0.040)
Pr (0.020, 0.139, 0.719)
Pr (0.480, 0.861, 0.219)
Pr (0.486, 0.893, 0.540)
Pr (0.514, 0.393, 0.960)
Pr (0.520, 0.361, 0.281)
Pr (0.980, 0.639, 0.781)
Pr (0.986, 0.607, 0.460)
Si (0.091, 0.082, 0.369)
Si (0.409, 0.918, 0.869)
Si (0.591, 0.418, 0.631)
Si (0.909, 0.582, 0.131)
S (0.006, 0.962, 0.867)
S (0.011, 0.517, 0.982)
S (0.012, 0.271, 0.892)
S (0.018, 0.485, 0.265)
S (0.027, 0.250, 0.350)
S (0.473, 0.750, 0.850)
S (0.482, 0.515, 0.765)
S (0.488, 0.729, 0.392)
S (0.489, 0.483, 0.482)
S (0.494, 0.038, 0.367)
S (0.506, 0.538, 0.133)
S (0.511, 0.983, 0.018)
S (0.512, 0.229, 0.108)
S (0.518, 0.015, 0.735)
S (0.527, 0.250, 0.650)
S (0.973, 0.750, 0.150)
S (0.982, 0.985, 0.235)
S (0.988, 0.771, 0.608)
S (0.989, 0.017, 0.518)
S (0.994, 0.462, 0.633)

The 6 most intense peaks (5° ≤ 2θ ≤ 70°), low angle first:
| d_spacing | I/Imax |
| --- | --- |
| 4.091 | 37 |
| 3.923 | 100 |
| 3.541 | 64 |
| 2.572 | 39 |
| 2.552 | 47 |
| 2.248 | 44 |

The following is a simulated powder diffraction line list of Mg7As. It was derived from a DFT-relaxed cell (PBE, Alexandria), using a wavelength of 1.5418 Å.
Kinematic intensities with the Lorentz-polarization factor, no thermal factor.

Atomic structure:
a = 6.257 Å, b = 6.257 Å, c = 6.257 Å
α = 60.00°, β = 60.00°, γ = 60.00°
Fractional coordinates of all 8 atoms:
Mg (0.000, 0.000, 0.000)
Mg (0.000, 0.000, 0.500)
Mg (0.000, 0.500, 0.000)
Mg (0.000, 0.500, 0.500)
Mg (0.500, 0.000, 0.000)
Mg (0.500, 0.000, 0.500)
Mg (0.500, 0.500, 0.000)
As (0.500, 0.500, 0.500)

The 6 most intense peaks (5° ≤ 2θ ≤ 70°), low angle first:
| d_spacing | I/Imax |
| --- | --- |
| 5.109 | 23 |
| 4.424 | 12 |
| 2.668 | 14 |
| 2.554 | 100 |
| 2.212 | 49 |
| 1.564 | 32 |

The following is a simulated powder diffraction line list of La5Si2Pb. It was derived from a DFT-relaxed cell (PBE, Alexandria), using a wavelength of 1.5418 Å.
Kinematic intensities with the Lorentz-polarization factor, no thermal factor.

Atomic structure:
a = 9.384 Å, b = 9.384 Å, c = 9.384 Å
α = 128.81°, β = 128.81°, γ = 75.32°
Fractional coordinates of all 16 atoms:
La (0.000, 0.000, 0.000)
La (0.036, 0.536, 0.848)
La (0.188, 0.036, 0.500)
La (0.312, 0.812, 0.848)
La (0.464, 0.312, 0.500)
La (0.500, 0.500, 0.000)
La (0.536, 0.688, 0.500)
La (0.688, 0.188, 0.152)
La (0.812, 0.964, 0.500)
La (0.964, 0.464, 0.152)
Si (0.117, 0.383, 0.500)
Si (0.383, 0.883, 0.266)
Si (0.617, 0.117, 0.734)
Si (0.883, 0.617, 0.500)
Pb (0.250, 0.250, 0.000)
Pb (0.750, 0.750, 0.000)

The 6 most intense peaks (5° ≤ 2θ ≤ 70°), low angle first:
| d_spacing | I/Imax |
| --- | --- |
| 3.523 | 44 |
| 3.117 | 59 |
| 2.926 | 82 |
| 2.739 | 100 |
| 2.564 | 76 |
| 1.699 | 40 |

The following is a simulated powder diffraction line list of NpH3Cl7. It was derived from a DFT-relaxed cell (PBE, Alexandria), using a wavelength of 1.5418 Å.
Kinematic intensities with the Lorentz-polarization factor, no thermal factor.

Atomic structure:
a = 7.128 Å, b = 7.268 Å, c = 7.286 Å
α = 93.68°, β = 112.04°, γ = 110.21°
Fractional coordinates of all 11 atoms:
Np (0.000, 0.000, 0.000)
H (0.209, 0.585, 0.582)
H (0.954, 0.464, 0.983)
H (0.959, 0.992, 0.466)
Cl (0.162, 0.731, 0.089)
Cl (0.165, 0.092, 0.739)
Cl (0.329, 0.269, 0.281)
Cl (0.631, 0.747, 0.739)
Cl (0.791, 0.272, 0.900)
Cl (0.796, 0.912, 0.270)
Cl (0.996, 0.508, 0.504)

The 6 most intense peaks (5° ≤ 2θ ≤ 70°), low angle first:
| d_spacing | I/Imax |
| --- | --- |
| 6.650 | 83 |
| 6.584 | 78 |
| 6.057 | 100 |
| 5.868 | 68 |
| 5.770 | 63 |
| 5.307 | 52 |

The following is a simulated powder diffraction line list of TmH7Pd12. It was derived from a DFT-relaxed cell (PBE, Alexandria), using a wavelength of 1.5418 Å.
Kinematic intensities with the Lorentz-polarization factor, no thermal factor.

Atomic structure:
a = 6.511 Å, b = 6.516 Å, c = 6.518 Å
α = 107.57°, β = 107.60°, γ = 107.54°
Fractional coordinates of all 20 atoms:
Tm (0.000, 0.000, 0.000)
H (0.008, 0.088, 0.384)
H (0.088, 0.383, 0.004)
H (0.384, 0.004, 0.087)
H (0.440, 0.440, 0.440)
H (0.578, 0.894, 0.806)
H (0.806, 0.578, 0.894)
H (0.896, 0.807, 0.579)
Pd (0.076, 0.236, 0.697)
Pd (0.151, 0.462, 0.382)
Pd (0.236, 0.697, 0.076)
Pd (0.301, 0.924, 0.761)
Pd (0.382, 0.151, 0.462)
Pd (0.462, 0.382, 0.151)
Pd (0.531, 0.612, 0.844)
Pd (0.612, 0.844, 0.531)
Pd (0.698, 0.076, 0.236)
Pd (0.761, 0.301, 0.924)
Pd (0.844, 0.531, 0.612)
Pd (0.923, 0.761, 0.301)

The 6 most intense peaks (5° ≤ 2θ ≤ 70°), low angle first:
| d_spacing | I/Imax |
| --- | --- |
| 5.600 | 1 |
| 2.379 | 100 |
| 2.367 | 33 |
| 2.058 | 66 |
| 1.458 | 21 |
| 1.452 | 21 |

The following is a simulated powder diffraction line list of RbMg6GaO8. It was derived from a DFT-relaxed cell (PBE, Alexandria), using a wavelength of 1.5418 Å.
Kinematic intensities with the Lorentz-polarization factor, no thermal factor.

Atomic structure:
a = 4.647 Å, b = 4.647 Å, c = 8.483 Å
α = 90.00°, β = 90.00°, γ = 90.00°
Fractional coordinates of all 16 atoms:
Rb (0.000, 0.000, 0.000)
Mg (0.000, 0.500, 0.248)
Mg (0.000, 0.500, 0.752)
Mg (0.500, 0.000, 0.248)
Mg (0.500, 0.000, 0.752)
Mg (0.500, 0.500, 0.000)
Mg (0.500, 0.500, 0.500)
Ga (0.000, 0.000, 0.500)
O (0.000, 0.000, 0.289)
O (0.000, 0.000, 0.711)
O (0.000, 0.500, 0.000)
O (0.000, 0.500, 0.500)
O (0.500, 0.000, 0.000)
O (0.500, 0.000, 0.500)
O (0.500, 0.500, 0.253)
O (0.500, 0.500, 0.747)

The 6 most intense peaks (5° ≤ 2θ ≤ 70°), low angle first:
| d_spacing | I/Imax |
| --- | --- |
| 4.647 | 36 |
| 2.598 | 48 |
| 2.324 | 100 |
| 2.121 | 35 |
| 1.643 | 30 |
| 1.566 | 48 |